Entry 1:
Simulated powder diffractogram of Tm2Al8Ir for a wavelength of 1.5418 Å, from a PBE-relaxed structure.
Lines closer than 0.1° are merged.

Peak list (10 most intense, 2θ = 5–70°, low angle first)
| 2θ (°) | d_spacing | I/Imax |
| --- | --- | --- |
| 20.9 | 4.259 | 100 |
| 24.0 | 3.710 | 28 |
| 29.7 | 3.012 | 33 |
| 32.0 | 2.797 | 63 |
| 38.5 | 2.338 | 86 |
| 42.4 | 2.130 | 40 |
| 47.7 | 1.905 | 23 |
| 49.3 | 1.847 | 17 |
| 54.1 | 1.694 | 29 |
| 61.6 | 1.506 | 13 |

Unit cell a=4.2592 b=4.2592 c=11.1296 alpha=90.00 beta=90.00 gamma=90.00
Fractional positions:
Tm 0.0000 0.0000 0.1898
Tm 0.0000 0.0000 0.8102
Al 0.0000 0.5000 0.0000
Al 0.0000 0.5000 0.3774
Al 0.0000 0.5000 0.6226
Al 0.5000 0.0000 0.0000
Al 0.5000 0.0000 0.3774
Al 0.5000 0.0000 0.6226
Al 0.5000 0.5000 0.1927
Al 0.5000 0.5000 0.8073
Ir 0.0000 0.0000 0.5000

---

Entry 2:
Simulated powder diffractogram of Zr6Al16Ir7 for a wavelength of 1.5418 Å, from a PBE-relaxed structure.
Lines closer than 0.1° are merged.

Peak list (10 most intense, 2θ = 5–70°, low angle first)
| 2θ (°) | d_spacing | I/Imax |
| --- | --- | --- |
| 24.9 | 3.570 | 60 |
| 28.9 | 3.092 | 73 |
| 31.5 | 2.837 | 21 |
| 35.6 | 2.524 | 21 |
| 37.8 | 2.380 | 23 |
| 41.3 | 2.186 | 100 |
| 48.8 | 1.864 | 57 |
| 59.8 | 1.546 | 14 |
| 65.8 | 1.419 | 28 |
| 67.8 | 1.383 | 20 |

Unit cell a=8.7450 b=8.7450 c=8.7450 alpha=60.00 beta=60.00 gamma=60.00
Fractional positions:
Zr 0.1892 0.1892 0.8108
Zr 0.1892 0.8108 0.1892
Zr 0.1892 0.8108 0.8108
Zr 0.8108 0.1892 0.1892
Zr 0.8108 0.1892 0.8108
Zr 0.8108 0.8108 0.1892
Al 0.1404 0.6199 0.6199
Al 0.1622 0.1622 0.1622
Al 0.1622 0.1622 0.5134
Al 0.1622 0.5134 0.1622
Al 0.3801 0.3801 0.3801
Al 0.3801 0.3801 0.8596
Al 0.3801 0.8596 0.3801
Al 0.4866 0.8378 0.8378
Al 0.5134 0.1622 0.1622
Al 0.6199 0.1404 0.6199
Al 0.6199 0.6199 0.1404
Al 0.6199 0.6199 0.6199
Al 0.8378 0.4866 0.8378
Al 0.8378 0.8378 0.4866
Al 0.8378 0.8378 0.8378
Al 0.8596 0.3801 0.3801
Ir 0.0000 0.0000 0.5000
Ir 0.0000 0.5000 0.0000
Ir 0.0000 0.5000 0.5000
Ir 0.5000 0.0000 0.0000
Ir 0.5000 0.0000 0.5000
Ir 0.5000 0.5000 0.0000
Ir 0.5000 0.5000 0.5000

---

Entry 3:
Simulated powder diffractogram of KNbAl for a wavelength of 1.5418 Å, from a PBE-relaxed structure.
Lines closer than 0.1° are merged.

Peak list (9 most intense, 2θ = 5–70°, low angle first)
| 2θ (°) | d_spacing | I/Imax |
| --- | --- | --- |
| 22.3 | 3.993 | 88 |
| 25.8 | 3.458 | 3 |
| 36.8 | 2.445 | 100 |
| 43.4 | 2.085 | 43 |
| 45.4 | 1.996 | 1 |
| 53.0 | 1.729 | 17 |
| 58.1 | 1.587 | 18 |
| 59.8 | 1.546 | 2 |
| 66.2 | 1.412 | 33 |

Unit cell a=6.9155 b=6.9155 c=6.9155 alpha=90.00 beta=90.00 gamma=90.00
Fractional positions:
K 0.0000 0.0000 0.0000
K 0.0000 0.5000 0.5000
K 0.5000 0.0000 0.5000
K 0.5000 0.5000 0.0000
Nb 0.2500 0.2500 0.2500
Nb 0.2500 0.7500 0.7500
Nb 0.7500 0.2500 0.7500
Nb 0.7500 0.7500 0.2500
Al 0.0000 0.0000 0.5000
Al 0.0000 0.5000 0.0000
Al 0.5000 0.0000 0.0000
Al 0.5000 0.5000 0.5000